This entry pairs a crystal structure of CrNiSbC with its simulated X-ray powder pattern. Radiation: Cu Ka. Structure: a crystal structure in Alexandria, relaxed with PBE.

Principal peaks in the range 2θ = 10–80°, by angle:
Position (°2θ)  I_rel
13.8  46
27.9  29
33.0  36
33.9  100
34.0  50
40.3  88
42.3  29
46.6  39
46.8  77
77.7  23

Atomic structure:
Unit cell a=3.164 b=3.176 c=6.659 alpha=76.43 beta=76.29 gamma=60.26
Positions (direct):
Cr1 0.000 0.000 0.000
Ni1 0.569 0.570 0.291
Sb1 0.137 0.141 0.582
C1 0.297 0.299 0.107



This entry pairs a crystal structure of Np2Cr2C3 with its simulated X-ray powder pattern. Radiation: Cu Ka. Structure: a crystal structure in Alexandria, relaxed with PBE.

Principal peaks in the range 2θ = 10–80°, by angle:
Position (°2θ)  I_rel
18.8  80
30.5  56
31.0  38
31.2  63
34.7  38
38.7  100
38.8  49
38.9  33
49.7  33
53.4  38

Atomic structure:
Unit cell a=11.639 b=2.979 c=5.226 alpha=90.00 beta=115.64 gamma=90.00
Positions (direct):
Np1 0.087 0.000 0.423
Np2 0.413 0.500 0.577
Np3 0.587 0.500 0.423
Np4 0.913 0.000 0.577
Cr1 0.162 0.500 0.007
Cr2 0.338 0.000 0.993
Cr3 0.662 0.000 0.007
Cr4 0.838 0.500 0.993
C1 0.000 0.500 0.000
C2 0.248 0.500 0.745
C3 0.252 0.000 0.255
C4 0.500 0.000 0.000
C5 0.748 0.000 0.745
C6 0.752 0.500 0.255